1.
The following is a theoretical powder diffractogram of CsGdZnO3. It was derived from DFT lattice parameters and positions (PBE), using a wavelength of 1.5418 Å.
Lines closer than 0.1° are merged.

Most intense lines, 10° ≤ 2θ ≤ 90°, in order of rising 2θ:
d/Å	Rel. int.	index
6.609	52	0 2 0
3.780	100	0 2 2
3.305	55	0 4 0
3.244	27	1 1 1
2.784	40	1 3 0
2.770	83	1 1 2
2.665	70	1 3 1
2.302	58	0 0 4
1.933	44	1 5 2
1.890	27	0 4 4

```
data_CsGdZnO3
_chemical_formula_sum 'Cs4 Gd4 Zn4 O12'
_cell_length_a 3.592
_cell_length_b 13.218
_cell_length_c 9.215
_cell_angle_alpha 90.00
_cell_angle_beta 90.00
_cell_angle_gamma 90.00
_symmetry_space_group_name_H-M 'C m c m'
_symmetry_Int_Tables_number 63
_symmetry_space_group_name_Hall '-C 2c 2'
loop_
_atom_site_label
_atom_site_type_symbol
_atom_site_fract_x
_atom_site_fract_y
_atom_site_fract_z
Cs1 Cs 0.000 0.227 0.250
Gd1 Gd 0.000 0.500 0.000
Zn1 Zn 0.000 0.052 0.750
O1 O 0.000 0.106 0.556
O2 O 0.000 0.467 0.750
```

=====

2.
The following is a theoretical powder diffractogram of Ag3B11. It was derived from DFT lattice parameters and positions (PBE), using a wavelength of 1.5418 Å.
Lines closer than 0.1° are merged.

Most intense lines, 10° ≤ 2θ ≤ 90°, in order of rising 2θ:
d/Å	Rel. int.	index
4.755	39	0 0 1
3.908	100	1 1 -1
3.584	49	0 2 0
3.085	39	3 1 0
2.862	22	0 2 1
2.408	40	3 1 1
2.292	23	1 1 -2
2.126	26	1 3 -1
2.027	19	4 2 -1
1.952	22	2 2 -2

```
data_Ag3B11
_chemical_formula_sum 'Ag6 B22'
_cell_length_a 10.439
_cell_length_b 7.168
_cell_length_c 4.842
_cell_angle_alpha 90.00
_cell_angle_beta 100.86
_cell_angle_gamma 90.00
_symmetry_space_group_name_H-M 'C 1 m 1'
_symmetry_Int_Tables_number 8
loop_
_symmetry_equiv_pos_as_xyz
'x,y,z'
'x,-y,z'
'x+1/2,y+1/2,z'
'x+1/2,-y+1/2,z'
loop_
_atom_site_label
_atom_site_type_symbol
_atom_site_fract_x
_atom_site_fract_y
_atom_site_fract_z
Ag1 Ag 0.000 0.000 0.000
Ag2 Ag 0.052 0.500 0.402
Ag3 Ag 0.277 0.000 0.180
B1 B 0.073 0.291 0.818
B2 B 0.126 0.500 0.955
B3 B 0.199 0.292 0.074
B4 B 0.265 0.500 0.204
B5 B 0.337 0.292 0.322
B6 B 0.413 0.500 0.430
B7 B 0.462 0.291 0.575
```

=====

3.
The following is a theoretical powder diffractogram of FeCl3. It was derived from DFT lattice parameters and positions (PBE), using a wavelength of 1.5418 Å.
Lines closer than 0.1° are merged.

Most intense lines, 10° ≤ 2θ ≤ 90°, in order of rising 2θ:
d/Å	Rel. int.	index
8.287	21	1 0 0
5.034	83	0 0 2
4.761	100	0 1 1
4.404	34	1 1 -1
3.125	94	1 1 2
3.110	93	2 1 -2
2.933	33	1 1 -3
1.931	43	3 2 0
1.916	21	2 0 4
1.888	43	1 2 -4

```
data_FeCl3
_chemical_formula_sum 'Fe4 Cl12'
_cell_length_a 8.681
_cell_length_b 5.400
_cell_length_c 10.568
_cell_angle_alpha 90.00
_cell_angle_beta 107.31
_cell_angle_gamma 90.00
_symmetry_space_group_name_H-M 'P 1 21/c 1'
_symmetry_Int_Tables_number 14
loop_
_symmetry_equiv_pos_as_xyz
'x,y,z'
'-x,-y,-z'
'-x,y+1/2,-z+1/2'
'x,-y+1/2,z+1/2'
loop_
_atom_site_label
_atom_site_type_symbol
_atom_site_fract_x
_atom_site_fract_y
_atom_site_fract_z
Fe1 Fe 0.194 0.000 0.048
Cl1 Cl 0.000 0.220 0.114
Cl2 Cl 0.329 0.239 0.960
Cl3 Cl 0.329 0.738 0.702
```

=====

Which formula does entry 2 have? Ag3B11

=====

Please write out number 1 again, unchanged.
The following is a theoretical powder diffractogram of CsGdZnO3. It was derived from DFT lattice parameters and positions (PBE), using a wavelength of 1.5418 Å.
Lines closer than 0.1° are merged.

Most intense lines, 10° ≤ 2θ ≤ 90°, in order of rising 2θ:
d/Å	Rel. int.	index
6.609	52	0 2 0
3.780	100	0 2 2
3.305	55	0 4 0
3.244	27	1 1 1
2.784	40	1 3 0
2.770	83	1 1 2
2.665	70	1 3 1
2.302	58	0 0 4
1.933	44	1 5 2
1.890	27	0 4 4

```
data_CsGdZnO3
_chemical_formula_sum 'Cs4 Gd4 Zn4 O12'
_cell_length_a 3.592
_cell_length_b 13.218
_cell_length_c 9.215
_cell_angle_alpha 90.00
_cell_angle_beta 90.00
_cell_angle_gamma 90.00
_symmetry_space_group_name_H-M 'C m c m'
_symmetry_Int_Tables_number 63
_symmetry_space_group_name_Hall '-C 2c 2'
loop_
_atom_site_label
_atom_site_type_symbol
_atom_site_fract_x
_atom_site_fract_y
_atom_site_fract_z
Cs1 Cs 0.000 0.227 0.250
Gd1 Gd 0.000 0.500 0.000
Zn1 Zn 0.000 0.052 0.750
O1 O 0.000 0.106 0.556
O2 O 0.000 0.467 0.750
```